1.
Starting from a structure optimized by DFT (GGA-PBE), the powder diffraction line list of MgH12SO9 was calculated for Cu Kα.
Lines closer than 0.1° are merged.

Top 12 peaks for 10 to 90 degrees two-theta, in order of rising 2θ:
- 2θ 15.0, d 5.891, I 20.1
- 2θ 20.1, d 4.409, I 86.8
- 2θ 22.5, d 3.958, I 100.0
- 2θ 28.9, d 3.086, I 37.4
- 2θ 30.3, d 2.946, I 41.3
- 2θ 32.5, d 2.756, I 76.4
- 2θ 35.5, d 2.528, I 13.5
- 2θ 36.7, d 2.449, I 44.8
- 2θ 47.2, d 1.926, I 24.6
- 2θ 50.6, d 1.806, I 41.5
- 2θ 50.9, d 1.794, I 15.2
- 2θ 55.1, d 1.667, I 25.4

Atomic structure:
```
MgH12SO9
1.0
4.409 2.546 3.086
-4.409 2.546 3.086
0.000 -5.092 3.086
Mg H S O
1 12 1 9
Cartesian
0.000 0.000 0.000
-4.076 -0.280 4.692
-0.910 -1.213 2.297
-2.640 -0.988 4.639
-0.826 -2.655 4.206
-0.596 1.394 2.297
-1.886 2.042 4.206
1.505 -0.181 2.297
2.280 -3.390 4.692
2.175 -1.792 4.639
0.464 2.780 4.639
2.712 0.612 4.206
1.795 3.670 4.692
0.000 0.000 4.599
-3.538 -1.026 5.060
-0.865 -3.635 4.413
-1.014 -0.988 3.947
-2.715 2.567 4.413
-0.349 1.372 3.947
1.362 -0.384 3.947
2.658 -2.550 5.060
0.880 3.577 5.060
3.581 1.068 4.413
```

***

2.
Starting from a structure optimized by DFT (GGA-PBE), the powder diffraction line list of MgH12S2O12 was calculated for Cu Kα.
Lines closer than 0.1° are merged.

Top 12 peaks for 10 to 90 degrees two-theta, in order of rising 2θ:
- 2θ 14.6, d 6.087, I 100.0
- 2θ 16.2, d 5.476, I 66.6
- 2θ 16.4, d 5.421, I 50.4
- 2θ 20.8, d 4.278, I 65.9
- 2θ 24.4, d 3.642, I 12.3
- 2θ 29.8, d 3.002, I 16.8
- 2θ 31.1, d 2.874, I 11.8
- 2θ 31.5, d 2.842, I 31.7
- 2θ 34.1, d 2.632, I 12.1
- 2θ 34.5, d 2.602, I 19.1
- 2θ 37.0, d 2.432, I 20.3
- 2θ 40.2, d 2.245, I 13.5

Atomic structure:
```
MgH12S2O12
1.0
5.691 0.000 0.000
0.095 7.744 0.000
2.436 1.002 8.573
Mg H S O
1 12 2 12
Cartesian
0.000 0.000 0.000
1.347 6.553 2.135
2.402 6.625 0.948
4.040 3.373 6.454
4.228 7.039 5.788
4.080 3.367 4.896
3.586 1.193 3.151
4.637 7.553 5.422
4.142 5.379 3.676
3.995 1.707 2.784
4.183 5.373 2.119
5.821 2.120 7.625
6.876 2.193 6.437
1.255 3.526 3.738
6.968 5.220 4.835
0.407 1.758 1.173
1.263 6.399 3.904
1.434 6.694 1.160
1.439 2.127 0.414
4.058 2.227 7.906
4.099 3.963 5.666
4.124 4.783 2.907
4.165 6.519 0.667
6.783 6.619 8.158
6.789 2.052 7.413
6.960 2.347 4.669
7.815 6.988 7.400
```

***

3.
Starting from a structure optimized by DFT (GGA-PBE), the powder diffraction line list of MgH10SO9 was calculated for Cu Kα.
Lines closer than 0.1° are merged.

Top 12 peaks for 10 to 90 degrees two-theta, in order of rising 2θ:
- 2θ 13.8, d 6.408, I 34.5
- 2θ 14.0, d 6.340, I 61.5
- 2θ 16.4, d 5.396, I 30.4
- 2θ 18.2, d 4.883, I 38.5
- 2θ 18.4, d 4.813, I 100.0
- 2θ 23.4, d 3.799, I 38.4
- 2θ 25.4, d 3.505, I 43.8
- 2θ 26.8, d 3.332, I 35.0
- 2θ 27.8, d 3.208, I 27.5
- 2θ 28.0, d 3.186, I 55.9
- 2θ 31.9, d 2.805, I 42.6
- 2θ 42.5, d 2.128, I 29.8

Atomic structure:
```
MgH10SO9
1.0
5.662 0.000 0.000
2.101 6.713 0.000
1.547 3.177 10.165
Mg H S O
2 20 2 18
Cartesian
0.000 0.000 0.000
0.773 1.588 5.083
1.703 3.815 3.801
2.114 3.350 6.320
2.059 3.751 1.061
1.878 2.578 2.061
1.648 2.004 0.022
3.460 6.153 6.666
4.486 8.609 7.970
3.303 4.668 8.666
3.422 2.467 6.100
5.409 7.923 9.042
3.901 1.966 1.123
5.888 7.423 4.065
6.007 5.221 1.499
4.824 1.280 2.196
5.850 3.736 3.499
7.662 7.886 10.143
7.432 7.311 8.105
7.251 6.139 9.104
7.196 6.539 3.845
7.607 6.074 6.364
3.816 5.982 2.959
5.494 3.908 7.207
2.681 6.735 6.456
2.672 4.755 9.435
2.667 5.275 3.590
2.428 2.410 6.167
3.454 6.488 1.617
2.361 2.815 1.234
4.579 8.456 8.940
4.163 7.167 3.847
4.304 4.785 7.300
5.006 5.105 2.865
5.147 2.722 6.318
4.731 1.433 1.225
6.949 7.074 8.931
5.855 3.401 8.548
6.882 7.479 3.998
6.643 4.615 6.575
6.638 5.135 0.731
6.629 3.155 3.709
```

***

What did the first record say?
Starting from a structure optimized by DFT (GGA-PBE), the powder diffraction line list of MgH12SO9 was calculated for Cu Kα.
Lines closer than 0.1° are merged.

Top 12 peaks for 10 to 90 degrees two-theta, in order of rising 2θ:
- 2θ 15.0, d 5.891, I 20.1
- 2θ 20.1, d 4.409, I 86.8
- 2θ 22.5, d 3.958, I 100.0
- 2θ 28.9, d 3.086, I 37.4
- 2θ 30.3, d 2.946, I 41.3
- 2θ 32.5, d 2.756, I 76.4
- 2θ 35.5, d 2.528, I 13.5
- 2θ 36.7, d 2.449, I 44.8
- 2θ 47.2, d 1.926, I 24.6
- 2θ 50.6, d 1.806, I 41.5
- 2θ 50.9, d 1.794, I 15.2
- 2θ 55.1, d 1.667, I 25.4

Atomic structure:
```
MgH12SO9
1.0
4.409 2.546 3.086
-4.409 2.546 3.086
0.000 -5.092 3.086
Mg H S O
1 12 1 9
Cartesian
0.000 0.000 0.000
-4.076 -0.280 4.692
-0.910 -1.213 2.297
-2.640 -0.988 4.639
-0.826 -2.655 4.206
-0.596 1.394 2.297
-1.886 2.042 4.206
1.505 -0.181 2.297
2.280 -3.390 4.692
2.175 -1.792 4.639
0.464 2.780 4.639
2.712 0.612 4.206
1.795 3.670 4.692
0.000 0.000 4.599
-3.538 -1.026 5.060
-0.865 -3.635 4.413
-1.014 -0.988 3.947
-2.715 2.567 4.413
-0.349 1.372 3.947
1.362 -0.384 3.947
2.658 -2.550 5.060
0.880 3.577 5.060
3.581 1.068 4.413
```